Record 1
For Cs2SbI2F4, a DFT-relaxed cell (PBE, Alexandria) gives the theoretical PXRD pattern in this record (Cu Kα).
Lines closer than 0.1° are merged.

The 8 most intense peaks (10° ≤ 2θ ≤ 80°), by intensity:
2θ/deg, intensity
23.0, 100
32.7, 56
31.3, 43
30.2, 41
39.2, 35
52.0, 32
25.3, 25
52.9, 24

Structural model:
```
data_Cs2SbI2F4
_cell_length_a 7.151
_cell_length_b 7.151
_cell_length_c 7.151
_cell_angle_alpha 114.52
_cell_angle_beta 114.52
_cell_angle_gamma 99.79
_space_group_name_H-M_alt 'P 1'
_space_group_IT_number 1
_space_group_name_Hall 'P 1'
loop_
_atom_site_label
_atom_site_fract_x
_atom_site_fract_y
_atom_site_fract_z
_atom_site_occupancy
Cs1 0.250 0.750 0.500 1
Cs2 0.750 0.250 0.500 1
Sb1 0.000 0.000 0.000 1
I1 0.318 0.318 0.000 1
I2 0.682 0.682 0.000 1
F1 0.191 0.191 0.381 1
F2 0.191 0.809 0.000 1
F3 0.809 0.191 0.000 1
F4 0.809 0.809 0.619 1
```

***

Record 2
For Cs2SnI2F4, a DFT-relaxed cell (PBE, Alexandria) gives the theoretical PXRD pattern in this record (Cu Kα).
Lines closer than 0.1° are merged.

The 8 most intense peaks (10° ≤ 2θ ≤ 80°), by intensity:
2θ/deg, intensity
23.1, 100
32.9, 55
29.9, 51
30.6, 37
38.7, 28
38.1, 27
51.2, 25
53.1, 25

Structural model:
```
data_Cs2SnI2F4
_cell_length_a 7.216
_cell_length_b 7.216
_cell_length_c 7.216
_cell_angle_alpha 115.41
_cell_angle_beta 115.41
_cell_angle_gamma 98.16
_space_group_name_H-M_alt 'P 1'
_space_group_IT_number 1
_space_group_name_Hall 'P 1'
loop_
_atom_site_label
_atom_site_fract_x
_atom_site_fract_y
_atom_site_fract_z
_atom_site_occupancy
Cs1 0.250 0.750 0.500 1
Cs2 0.750 0.250 0.500 1
Sn1 0.000 0.000 0.000 1
I1 0.299 0.299 0.000 1
I2 0.701 0.701 0.000 1
F1 0.186 0.186 0.373 1
F2 0.186 0.814 0.000 1
F3 0.814 0.186 0.000 1
F4 0.814 0.814 0.627 1
```

***

Record 3
For Cs2TiI2F4, a DFT-relaxed cell (PBE, Alexandria) gives the theoretical PXRD pattern in this record (Cu Kα).
Lines closer than 0.1° are merged.

The 8 most intense peaks (10° ≤ 2θ ≤ 80°), by intensity:
2θ/deg, intensity
23.3, 100
29.9, 88
33.2, 52
18.5, 37
38.2, 32
30.3, 30
53.6, 25
57.2, 21

Structural model:
```
data_Cs2TiI2F4
_cell_length_a 7.230
_cell_length_b 7.230
_cell_length_c 7.230
_cell_angle_alpha 116.19
_cell_angle_beta 116.19
_cell_angle_gamma 96.73
_space_group_name_H-M_alt 'P 1'
_space_group_IT_number 1
_space_group_name_Hall 'P 1'
loop_
_atom_site_label
_atom_site_fract_x
_atom_site_fract_y
_atom_site_fract_z
_atom_site_occupancy
Cs1 0.250 0.750 0.500 1
Cs2 0.750 0.250 0.500 1
Ti1 0.000 0.000 0.000 1
I1 0.296 0.296 0.000 1
I2 0.704 0.704 0.000 1
F1 0.173 0.173 0.346 1
F2 0.173 0.827 0.000 1
F3 0.827 0.173 0.000 1
F4 0.827 0.827 0.654 1
```

***

Record 4
For Cs2ZrI2F4, a DFT-relaxed cell (PBE, Alexandria) gives the theoretical PXRD pattern in this record (Cu Kα).
Lines closer than 0.1° are merged.

The 8 most intense peaks (10° ≤ 2θ ≤ 80°), by intensity:
2θ/deg, intensity
23.0, 100
29.4, 65
32.8, 55
29.6, 38
37.8, 27
53.0, 25
18.0, 24
37.7, 20

Structural model:
```
data_Cs2ZrI2F4
_cell_length_a 7.351
_cell_length_b 7.351
_cell_length_c 7.351
_cell_angle_alpha 116.56
_cell_angle_beta 116.56
_cell_angle_gamma 96.07
_space_group_name_H-M_alt 'P 1'
_space_group_IT_number 1
_space_group_name_Hall 'P 1'
loop_
_atom_site_label
_atom_site_fract_x
_atom_site_fract_y
_atom_site_fract_z
_atom_site_occupancy
Cs1 0.250 0.750 0.500 1
Cs2 0.750 0.250 0.500 1
Zr1 0.000 0.000 0.000 1
I1 0.299 0.299 0.000 1
I2 0.701 0.701 0.000 1
F1 0.185 0.185 0.370 1
F2 0.185 0.815 0.000 1
F3 0.815 0.185 0.000 1
F4 0.815 0.815 0.630 1
```

***

Record 5
For CsIn3F9, a DFT-relaxed cell (PBE, Alexandria) gives the theoretical PXRD pattern in this record (Cu Kα).
Lines closer than 0.1° are merged.

The 8 most intense peaks (10° ≤ 2θ ≤ 80°), by intensity:
2θ/deg, intensity
25.1, 100
24.2, 50
30.2, 33
44.2, 32
49.7, 30
62.7, 21
20.7, 18
51.5, 16

Structural model:
```
data_CsIn3F9
_cell_length_a 8.200
_cell_length_b 8.200
_cell_length_c 4.288
_cell_angle_alpha 90.00
_cell_angle_beta 90.00
_cell_angle_gamma 120.00
_space_group_name_H-M_alt 'P 1'
_space_group_IT_number 1
_space_group_name_Hall 'P 1'
loop_
_atom_site_label
_atom_site_fract_x
_atom_site_fract_y
_atom_site_fract_z
_atom_site_occupancy
Cs1 0.000 0.000 0.000 1
In1 0.000 0.500 0.500 1
In2 0.500 0.000 0.500 1
In3 0.500 0.500 0.500 1
F1 0.000 0.500 0.000 1
F2 0.201 0.403 0.500 1
F3 0.201 0.799 0.500 1
F4 0.403 0.201 0.500 1
F5 0.500 0.000 0.000 1
F6 0.500 0.500 0.000 1
F7 0.597 0.799 0.500 1
F8 0.799 0.201 0.500 1
F9 0.799 0.597 0.500 1
```

***

Record 6
For Cs3In2F9, a DFT-relaxed cell (PBE, Alexandria) gives the theoretical PXRD pattern in this record (Cu Kα).
Lines closer than 0.1° are merged.

The 8 most intense peaks (10° ≤ 2θ ≤ 80°), by intensity:
2θ/deg, intensity
26.9, 100
23.5, 75
36.0, 66
48.0, 23
39.0, 22
55.4, 22
45.5, 21
55.8, 20

Structural model:
```
data_Cs3In2F9
_cell_length_a 8.337
_cell_length_b 8.337
_cell_length_c 8.337
_cell_angle_alpha 87.14
_cell_angle_beta 87.14
_cell_angle_gamma 87.14
_space_group_name_H-M_alt 'P 1'
_space_group_IT_number 1
_space_group_name_Hall 'P 1'
loop_
_atom_site_label
_atom_site_fract_x
_atom_site_fract_y
_atom_site_fract_z
_atom_site_occupancy
Cs1 0.091 0.750 0.409 1
Cs2 0.250 0.591 0.909 1
Cs3 0.409 0.091 0.750 1
Cs4 0.591 0.909 0.250 1
Cs5 0.750 0.409 0.091 1
Cs6 0.909 0.250 0.591 1
In1 0.146 0.146 0.146 1
In2 0.354 0.354 0.354 1
In3 0.646 0.646 0.646 1
In4 0.854 0.854 0.854 1
F1 0.071 0.915 0.747 1
F2 0.085 0.253 0.929 1
F3 0.115 0.385 0.250 1
F4 0.247 0.415 0.571 1
F5 0.250 0.115 0.385 1
F6 0.253 0.929 0.085 1
F7 0.385 0.250 0.115 1
F8 0.415 0.571 0.247 1
F9 0.429 0.753 0.585 1
F10 0.571 0.247 0.415 1
F11 0.585 0.429 0.753 1
F12 0.615 0.750 0.885 1
F13 0.747 0.071 0.915 1
F14 0.750 0.885 0.615 1
F15 0.753 0.585 0.429 1
F16 0.885 0.615 0.750 1
F17 0.915 0.747 0.071 1
F18 0.929 0.085 0.253 1
```

***

Record 7
For CsInF3, a DFT-relaxed cell (PBE, Alexandria) gives the theoretical PXRD pattern in this record (Cu Kα).
Lines closer than 0.1° are merged.

The 8 most intense peaks (10° ≤ 2θ ≤ 80°), by intensity:
2θ/deg, intensity
27.0, 100
27.6, 93
23.0, 73
30.6, 40
49.6, 37
52.5, 31
40.8, 30
38.6, 28

Structural model:
```
data_CsInF3
_cell_length_a 9.154
_cell_length_b 9.154
_cell_length_c 5.847
_cell_angle_alpha 90.00
_cell_angle_beta 90.00
_cell_angle_gamma 122.16
_space_group_name_H-M_alt 'P 1'
_space_group_IT_number 1
_space_group_name_Hall 'P 1'
loop_
_atom_site_label
_atom_site_fract_x
_atom_site_fract_y
_atom_site_fract_z
_atom_site_occupancy
Cs1 0.075 0.425 0.250 1
Cs2 0.425 0.075 0.750 1
Cs3 0.575 0.925 0.250 1
Cs4 0.925 0.575 0.750 1
In1 0.046 0.954 0.293 1
In2 0.454 0.546 0.793 1
In3 0.546 0.454 0.207 1
In4 0.954 0.046 0.707 1
F1 0.078 0.922 0.935 1
F2 0.177 0.823 0.374 1
F3 0.190 0.310 0.750 1
F4 0.310 0.190 0.250 1
F5 0.323 0.677 0.874 1
F6 0.422 0.578 0.435 1
F7 0.578 0.422 0.565 1
F8 0.677 0.323 0.126 1
F9 0.690 0.810 0.750 1
F10 0.810 0.690 0.250 1
F11 0.823 0.177 0.626 1
F12 0.922 0.078 0.065 1
```

***

Record 8
For Cs3InF7, a DFT-relaxed cell (PBE, Alexandria) gives the theoretical PXRD pattern in this record (Cu Kα).
Lines closer than 0.1° are merged.

The 8 most intense peaks (10° ≤ 2θ ≤ 80°), by intensity:
2θ/deg, intensity
24.7, 100
26.8, 57
35.7, 36
29.4, 36
40.2, 31
46.1, 18
23.1, 17
55.2, 13

Structural model:
```
data_Cs3InF7
_cell_length_a 8.596
_cell_length_b 8.596
_cell_length_c 6.643
_cell_angle_alpha 90.00
_cell_angle_beta 90.00
_cell_angle_gamma 90.00
_space_group_name_H-M_alt 'P 1'
_space_group_IT_number 1
_space_group_name_Hall 'P 1'
loop_
_atom_site_label
_atom_site_fract_x
_atom_site_fract_y
_atom_site_fract_z
_atom_site_occupancy
Cs1 0.000 0.000 0.000 1
Cs2 0.186 0.314 0.500 1
Cs3 0.314 0.814 0.500 1
Cs4 0.500 0.500 0.000 1
Cs5 0.686 0.186 0.500 1
Cs6 0.814 0.686 0.500 1
In1 0.000 0.500 0.000 1
In2 0.500 0.000 0.000 1
F1 0.000 0.000 0.500 1
F2 0.116 0.616 0.236 1
F3 0.116 0.616 0.764 1
F4 0.172 0.328 0.000 1
F5 0.328 0.828 0.000 1
F6 0.384 0.116 0.236 1
F7 0.384 0.116 0.764 1
F8 0.500 0.500 0.500 1
F9 0.616 0.884 0.236 1
F10 0.616 0.884 0.764 1
F11 0.672 0.172 0.000 1
F12 0.828 0.672 0.000 1
F13 0.884 0.384 0.236 1
F14 0.884 0.384 0.764 1
```